Entry 1:
Structure and calculated powder XRD pattern of Dy2CuRu (the GGA-PBE geometry in the Materials Project; a wavelength of 1.5418 Å).
Neutral-atom scattering factors, no anomalous dispersion.

Peak list (8 most intense, 10 to 90 degrees two-theta, most intense first)
2θ/deg, I_rel
37.0, 100
66.7, 35
53.4, 17
25.9, 11
78.8, 11
60.3, 5
45.8, 3
84.7, 2

Structure:
abc: 4.8569 4.8569 4.8569
angles: 60.00 60.00 60.00
Positions (direct):
Dy  0.2500  0.2500  0.2500
Dy  0.7500  0.7500  0.7500
Cu  0.0000  0.0000  0.0000
Ru  0.5000  0.5000  0.5000

=====

Entry 2:
Structure and calculated powder XRD pattern of Mg3In (the GGA-PBE geometry in the Materials Project; a wavelength of 1.5418 Å).
Neutral-atom scattering factors, no anomalous dispersion.

Peak list (8 most intense, 10 to 90 degrees two-theta, most intense first)
2θ/deg, I_rel
34.5, 100
19.7, 66
28.1, 57
40.1, 49
69.3, 37
58.0, 32
45.1, 31
49.7, 23

Structure:
abc: 4.4969 4.4969 4.4969
angles: 90.00 90.00 90.00
Positions (direct):
Mg  0.0000  0.0000  0.5000
Mg  0.0000  0.5000  0.0000
Mg  0.5000  0.0000  0.0000
In  0.5000  0.5000  0.5000

=====

Entry 3:
Structure and calculated powder XRD pattern of Lu2OsPd (the GGA-PBE geometry in the Materials Project; a wavelength of 1.5418 Å).
Neutral-atom scattering factors, no anomalous dispersion.

Peak list (8 most intense, 10 to 90 degrees two-theta, most intense first)
2θ/deg, I_rel
37.7, 100
68.0, 36
54.4, 17
80.5, 11
22.8, 3
44.5, 2
59.7, 1
26.4, 1

Structure:
abc: 4.7728 4.7728 4.7728
angles: 60.00 60.00 60.00
Positions (direct):
Lu  0.2500  0.2500  0.2500
Lu  0.7500  0.7500  0.7500
Os  0.0000  0.0000  0.0000
Pd  0.5000  0.5000  0.5000

=====

Entry 4:
Structure and calculated powder XRD pattern of UN2 (the GGA-PBE geometry in the Materials Project; a wavelength of 1.5418 Å).
Neutral-atom scattering factors, no anomalous dispersion.

Peak list (8 most intense, 10 to 90 degrees two-theta, most intense first)
2θ/deg, I_rel
29.3, 100
57.9, 46
48.8, 46
34.0, 40
79.1, 20
81.6, 16
60.8, 11
71.5, 8

Structure:
abc: 3.7324 3.7324 3.7324
angles: 60.00 60.00 60.00
Positions (direct):
U  0.0000  0.0000  0.0000
N  0.2500  0.2500  0.2500
N  0.7500  0.7500  0.7500

=====

Entry 5:
Structure and calculated powder XRD pattern of NaNdNb2O6 (the GGA-PBE geometry in the Materials Project; a wavelength of 1.5418 Å).
Neutral-atom scattering factors, no anomalous dispersion.

Peak list (8 most intense, 10 to 90 degrees two-theta, most intense first)
2θ/deg, I_rel
31.3, 100
55.6, 39
44.8, 35
19.0, 30
65.2, 21
36.8, 17
74.1, 17
49.1, 8

Structure:
abc: 5.7217 5.7217 5.7217
angles: 60.00 60.00 60.00
Positions (direct):
Na  0.0000  0.0000  0.0000
Nd  0.5000  0.5000  0.5000
Nb  0.2500  0.2500  0.2500
Nb  0.7500  0.7500  0.7500
O  0.0000  0.0000  0.5000
O  0.0000  0.5000  0.0000
O  0.0000  0.5000  0.5000
O  0.5000  0.0000  0.0000
O  0.5000  0.0000  0.5000
O  0.5000  0.5000  0.0000

=====

Entry 6:
Structure and calculated powder XRD pattern of Sc2IrOs (the GGA-PBE geometry in the Materials Project; a wavelength of 1.5418 Å).
Neutral-atom scattering factors, no anomalous dispersion.

Peak list (7 most intense, 10 to 90 degrees two-theta, most intense first)
2θ/deg, I_rel
39.5, 100
27.7, 48
71.7, 34
64.6, 19
57.1, 17
48.9, 14
85.1, 11

Structure:
abc: 4.5596 4.5596 4.5596
angles: 60.00 60.00 60.00
Positions (direct):
Sc  0.2500  0.2500  0.2500
Sc  0.7500  0.7500  0.7500
Ir  0.0000  0.0000  0.0000
Os  0.5000  0.5000  0.5000

=====

Entry 7:
Structure and calculated powder XRD pattern of CeAsO3 (the GGA-PBE geometry in the Materials Project; a wavelength of 1.5418 Å).
Neutral-atom scattering factors, no anomalous dispersion.

Peak list (8 most intense, 10 to 90 degrees two-theta, most intense first)
2θ/deg, I_rel
26.8, 100
27.9, 88
34.5, 76
33.6, 55
44.9, 51
41.1, 49
30.0, 38
36.1, 36

Structure:
abc: 4.4095 5.3294 6.1859
angles: 90.00 105.33 90.00
Positions (direct):
Ce  0.1630  0.2500  0.2980
Ce  0.8370  0.7500  0.7020
As  0.4206  0.2500  0.8586
As  0.5794  0.7500  0.1414
O  0.1637  0.7500  0.1155
O  0.3052  0.0009  0.6555
O  0.3052  0.4991  0.6555
O  0.6948  0.5009  0.3445
O  0.6948  0.9991  0.3445
O  0.8363  0.2500  0.8845

=====

Entry 8:
Structure and calculated powder XRD pattern of SrMg6Fe (the GGA-PBE geometry in the Materials Project; a wavelength of 1.5418 Å).
Neutral-atom scattering factors, no anomalous dispersion.

Peak list (8 most intense, 10 to 90 degrees two-theta, most intense first)
2θ/deg, I_rel
36.4, 100
31.6, 63
34.4, 61
15.6, 47
35.8, 40
22.9, 31
23.7, 20
48.5, 20

Structure:
abc: 5.0111 6.8984 6.8984
angles: 55.20 90.00 90.00
Positions (direct):
Sr  0.0000  0.0000  0.0000
Mg  0.0000  0.4683  0.4683
Mg  0.0000  0.4714  0.9924
Mg  0.0000  0.9924  0.4714
Mg  0.5000  0.1285  0.6084
Mg  0.5000  0.6084  0.1285
Mg  0.5000  0.6312  0.6312
Fe  0.5000  0.1748  0.1748

=====

Entry 9:
Structure and calculated powder XRD pattern of Na5Al3F14 (the GGA-PBE geometry in the Materials Project; a wavelength of 1.5418 Å).
Neutral-atom scattering factors, no anomalous dispersion.

Peak list (8 most intense, 10 to 90 degrees two-theta, most intense first)
2θ/deg, I_rel
30.3, 100
38.1, 57
50.1, 37
58.5, 33
51.3, 32
60.8, 30
16.8, 26
44.6, 23

Structure:
abc: 7.1176 7.1176 10.5616
angles: 90.00 90.00 90.00
Positions (direct):
Na  0.0000  0.0000  0.0000
Na  0.2248  0.2752  0.2500
Na  0.2248  0.2752  0.7500
Na  0.2752  0.7752  0.2500
Na  0.2752  0.7752  0.7500
Na  0.5000  0.5000  0.5000
Na  0.7248  0.2248  0.2500
Na  0.7248  0.2248  0.7500
Na  0.7752  0.7248  0.2500
Na  0.7752  0.7248  0.7500
Al  0.0000  0.0000  0.5000
Al  0.0000  0.5000  0.0000
Al  0.0000  0.5000  0.5000
Al  0.5000  0.0000  0.0000
Al  0.5000  0.0000  0.5000
Al  0.5000  0.5000  0.0000
F  0.0000  0.0000  0.3285
F  0.0000  0.0000  0.6715
F  0.0348  0.6800  0.1201
F  0.0348  0.6800  0.8799
F  0.0634  0.2479  0.5000
F  0.1800  0.5348  0.3799
F  0.1800  0.5348  0.6201
F  0.2479  0.9366  0.5000
F  0.2521  0.4366  0.0000
F  0.3200  0.0348  0.1201
F  0.3200  0.0348  0.8799
F  0.4366  0.7479  0.0000
F  0.4652  0.1800  0.3799
F  0.4652  0.1800  0.6201
F  0.5000  0.5000  0.1715
F  0.5000  0.5000  0.8285
F  0.5348  0.8200  0.3799
F  0.5348  0.8200  0.6201
F  0.5634  0.2521  0.0000
F  0.6800  0.9652  0.1201
F  0.6800  0.9652  0.8799
F  0.7479  0.5634  0.0000
F  0.7521  0.0634  0.5000
F  0.8200  0.4652  0.3799
F  0.8200  0.4652  0.6201
F  0.9366  0.7521  0.5000
F  0.9652  0.3200  0.1201
F  0.9652  0.3200  0.8799

=====

Entry 10:
Structure and calculated powder XRD pattern of InPd3 (the GGA-PBE geometry in the Materials Project; a wavelength of 1.5418 Å).
Neutral-atom scattering factors, no anomalous dispersion.

Peak list (8 most intense, 10 to 90 degrees two-theta, most intense first)
2θ/deg, I_rel
38.5, 100
44.3, 33
77.7, 25
65.6, 20
45.7, 15
79.7, 11
64.5, 11
82.6, 11

Structure:
abc: 4.0872 4.0872 3.9673
angles: 90.00 90.00 90.00
Positions (direct):
In  0.0000  0.0000  0.0000
Pd  0.0000  0.5000  0.5000
Pd  0.5000  0.0000  0.5000
Pd  0.5000  0.5000  0.0000

=====

Entry 11:
Structure and calculated powder XRD pattern of Hg (the GGA-PBE geometry in the Materials Project; a wavelength of 1.5418 Å).
Neutral-atom scattering factors, no anomalous dispersion.

Peak list (8 most intense, 10 to 90 degrees two-theta, most intense first)
2θ/deg, I_rel
11.4, 100
29.4, 35
30.1, 33
33.0, 26
35.0, 22
22.9, 21
40.0, 16
53.1, 14

Structure:
abc: 8.0276 8.0276 8.0276
angles: 25.48 25.48 25.48
Positions (direct):
Hg  0.0000  0.0000  0.0000